Simulated powder XRD pattern
Compound: VFe2S4
Radiation: Cu Kα (weighted mean of Kα1 and Kα2)
Structure: DFT lattice parameters and positions (GGA-PBE)
Kinematic intensities with the Lorentz-polarization factor, no thermal factor.

Cell and atoms:
```
data_VFe2S4
_cell_length_a 11.8175
_cell_length_b 3.1966
_cell_length_c 5.7110
_cell_angle_alpha 90.00
_cell_angle_beta 115.22
_cell_angle_gamma 90.00
_space_group_name_H-M_alt 'C 1 m 1'
_space_group_IT_number 8
loop_
_space_group_symop_operation_xyz
'x,y,z'
'x,-y,z'
'x+1/2,y+1/2,z'
'x+1/2,-y+1/2,z'
loop_
_atom_site_label
_atom_site_fract_x
_atom_site_fract_y
_atom_site_fract_z
V1 0.0000 0.0000 0.0000
Fe1 0.2426 0.5000 0.6866
Fe2 0.4740 0.0000 0.3674
S1 0.1002 0.0000 0.6966
S2 0.1333 0.5000 0.2545
S3 0.3460 0.5000 0.1322
S4 0.3791 0.0000 0.6597
```

Principal peaks in the range 10° ≤ 2θ ≤ 90°, low angle first:
Position (°2θ), intensity, index
18.09, 76, 2 0 -1
32.10, 52, 1 1 -1
35.86, 95, 1 1 1
36.66, 48, 4 0 -2
37.81, 50, 3 1 0
46.32, 92, 3 1 1
47.87, 100, 5 1 -1
48.81, 43, 1 1 2
56.33, 64, 3 1 -3
57.68, 43, 0 2 0

Simulated powder XRD pattern
Compound: LiLa2PmSe5
Radiation: Cu Kα (weighted mean of Kα1 and Kα2)
Structure: DFT lattice parameters and positions (GGA-PBE)
Kinematic intensities with the Lorentz-polarization factor, no thermal factor.

Cell and atoms:
```
data_LiLa2PmSe5
_cell_length_a 4.2393
_cell_length_b 17.5567
_cell_length_c 12.6468
_cell_angle_alpha 90.00
_cell_angle_beta 90.00
_cell_angle_gamma 90.00
_space_group_name_H-M_alt 'C m c 21'
_space_group_IT_number 36
loop_
_space_group_symop_operation_xyz
'x,y,z'
'-x,-y,z+1/2'
'-x,y,z'
'x,-y,z+1/2'
'x+1/2,y+1/2,z'
'-x+1/2,-y+1/2,z+1/2'
'-x+1/2,y+1/2,z'
'x+1/2,-y+1/2,z+1/2'
loop_
_atom_site_label
_atom_site_fract_x
_atom_site_fract_y
_atom_site_fract_z
Li1 0.0000 0.0140 0.0000
La1 0.0000 0.3770 0.8173
La2 0.0000 0.3911 0.2027
Pm1 0.0000 0.3034 0.5200
Se1 0.0000 0.0009 0.8024
Se2 0.0000 0.1366 0.5175
Se3 0.0000 0.1921 0.8597
Se4 0.0000 0.2113 0.1814
Se5 0.0000 0.4557 0.5896
```

Principal peaks in the range 10° ≤ 2θ ≤ 90°, low angle first:
Position (°2θ), intensity, index
17.28, 11, 0 2 2
21.43, 11, 0 4 1
30.33, 100, 1 1 3
31.38, 34, 0 6 1
33.13, 12, 1 5 0
36.13, 58, 1 5 2
38.72, 10, 1 3 4
42.66, 25, 2 0 0
47.52, 11, 0 6 5
53.90, 15, 2 6 1

Simulated powder XRD pattern
Compound: Te2HPt
Radiation: Cu Kα (weighted mean of Kα1 and Kα2)
Structure: DFT lattice parameters and positions (GGA-PBE)
Kinematic intensities with the Lorentz-polarization factor, no thermal factor.

Cell and atoms:
```
data_Te2HPt
_cell_length_a 4.1515
_cell_length_b 4.1515
_cell_length_c 20.1070
_cell_angle_alpha 90.00
_cell_angle_beta 90.00
_cell_angle_gamma 120.00
_space_group_name_H-M_alt 'R -3 m'
_space_group_IT_number 166
_space_group_name_Hall '-R 3 2"'
loop_
_atom_site_label
_atom_site_fract_x
_atom_site_fract_y
_atom_site_fract_z
Te1 0.0000 0.0000 0.1000
H1 0.0000 0.0000 0.0000
Pt1 0.0000 0.0000 0.5000
```

Principal peaks in the range 10° ≤ 2θ ≤ 90°, low angle first:
Position (°2θ), intensity, index
13.21, 100, 0 0 3
26.33, 63, 0 1 2
33.43, 89, 0 1 5
40.18, 20, 1 0 7
43.60, 43, 1 1 0
45.76, 28, 1 1 3
52.12, 26, 1 0 10
56.04, 21, 2 0 5
73.57, 18, 1 2 5
86.42, 25, 2 1 10

Simulated powder XRD pattern
Compound: Ce6OsPt2
Radiation: Cu Kα (weighted mean of Kα1 and Kα2)
Structure: DFT lattice parameters and positions (GGA-PBE)
Kinematic intensities with the Lorentz-polarization factor, no thermal factor.

Cell and atoms:
```
data_Ce6OsPt2
_cell_length_a 4.5375
_cell_length_b 13.5006
_cell_length_c 7.2055
_cell_angle_alpha 90.00
_cell_angle_beta 90.00
_cell_angle_gamma 90.00
_space_group_name_H-M_alt 'A m m 2'
_space_group_IT_number 38
loop_
_space_group_symop_operation_xyz
'x,y,z'
'-x,-y,z'
'-x,y,z'
'x,-y,z'
'x,y+1/2,z+1/2'
'-x,-y+1/2,z+1/2'
'-x,y+1/2,z+1/2'
'x,-y+1/2,z+1/2'
loop_
_atom_site_label
_atom_site_fract_x
_atom_site_fract_y
_atom_site_fract_z
Ce1 0.0000 0.0000 0.0000
Ce2 0.0000 0.0988 0.5283
Ce3 0.5000 0.0000 0.2624
Ce4 0.5000 0.2005 0.8610
Os1 0.5000 0.0000 0.7615
Pt1 0.0000 0.1951 0.1505
```

Principal peaks in the range 10° ≤ 2θ ≤ 90°, low angle first:
Position (°2θ), intensity, index
30.61, 36, 1 3 1
31.71, 100, 1 0 2
34.45, 83, 1 2 2
35.50, 48, 0 5 1
39.73, 52, 2 0 0
40.86, 57, 1 5 1
42.67, 22, 0 3 3
52.58, 23, 0 2 4
54.33, 29, 2 5 1
67.87, 24, 2 2 4

Simulated powder XRD pattern
Compound: BaNa6Pd2
Radiation: Cu Kα (weighted mean of Kα1 and Kα2)
Structure: DFT lattice parameters and positions (GGA-PBE)
Kinematic intensities with the Lorentz-polarization factor, no thermal factor.

Cell and atoms:
```
data_BaNa6Pd2
_cell_length_a 4.6561
_cell_length_b 4.6561
_cell_length_c 12.5901
_cell_angle_alpha 90.00
_cell_angle_beta 90.00
_cell_angle_gamma 90.00
_space_group_name_H-M_alt 'P 4/m m m'
_space_group_IT_number 123
_space_group_name_Hall '-P 4 2'
loop_
_atom_site_label
_atom_site_fract_x
_atom_site_fract_y
_atom_site_fract_z
Ba1 0.0000 0.0000 0.0000
Na1 0.0000 0.0000 0.5000
Na2 0.0000 0.5000 0.2572
Na3 0.5000 0.5000 0.5000
Pd1 0.5000 0.5000 0.1058
```

Principal peaks in the range 10° ≤ 2θ ≤ 90°, low angle first:
Position (°2θ), intensity, index
27.08, 56, 1 1 0
28.01, 76, 1 1 1
28.64, 53, 1 0 3
30.64, 100, 1 1 2
34.39, 70, 1 0 4
38.68, 59, 2 0 0
39.36, 28, 2 0 1
40.74, 49, 1 0 5
52.71, 41, 2 1 4
57.43, 36, 2 1 5

Simulated powder XRD pattern
Compound: Er5GePd2
Radiation: Cu Kα (weighted mean of Kα1 and Kα2)
Structure: DFT lattice parameters and positions (GGA-PBE)
Kinematic intensities with the Lorentz-polarization factor, no thermal factor.

Cell and atoms:
```
data_Er5GePd2
_cell_length_a 7.5940
_cell_length_b 7.5940
_cell_length_c 13.3186
_cell_angle_alpha 90.00
_cell_angle_beta 90.00
_cell_angle_gamma 90.00
_space_group_name_H-M_alt 'I 4/m c m'
_space_group_IT_number 140
_space_group_name_Hall '-I 4 2c'
loop_
_atom_site_label
_atom_site_fract_x
_atom_site_fract_y
_atom_site_fract_z
Er1 0.0000 0.0000 0.0000
Er2 0.1603 0.3397 0.1463
Ge1 0.0000 0.0000 0.2500
Pd1 0.1345 0.3655 0.5000
```

Principal peaks in the range 10° ≤ 2θ ≤ 90°, low angle first:
Position (°2θ), intensity, index
27.08, 13, 2 1 1
31.62, 14, 1 1 4
33.21, 100, 2 1 3
35.87, 22, 2 0 4
37.45, 46, 3 1 0
40.64, 11, 0 0 6
53.89, 12, 4 1 3
56.45, 12, 3 1 6
58.55, 11, 3 3 4
70.02, 18, 5 2 3